This entry pairs a crystal structure of Er2TmGa4Cu with its theoretical powder diffraction line list. Radiation: a wavelength of 1.5418 Å. Structure: a structure optimized by DFT (GGA-PBE).
Neutral-atom scattering factors, no anomalous dispersion.

Top 8 peaks for 2θ = 15–90°, by angle:
| index | 2theta | d/Å | Rel. int. |
| --- | --- | --- | --- |
| 2 0 0 | 26.91 | 3.313 | 15 |
| 1 1 3 | 33.97 | 2.639 | 100 |
| 1 0 4 | 34.20 | 2.622 | 35 |
| 2 1 1 | 34.81 | 2.577 | 80 |
| 0 2 0 | 41.09 | 2.197 | 32 |
| 3 0 4 | 52.37 | 1.747 | 15 |
| 1 2 4 | 54.50 | 1.684 | 19 |
| 3 2 4 | 68.64 | 1.367 | 13 |

Unit cell a=6.626 b=4.393 c=11.420 alpha=90.00 beta=90.00 gamma=90.00
Space group Amm2 (No. 38)
Asymmetric unit:
Er  0.000  0.000  0.000 x2
Er  0.500  0.000  0.139 x2
Tm  0.500  0.000  0.859 x2
Ga  0.184  0.000  0.688 x4
Ga  0.291  0.000  0.466 x4
Cu  0.000  0.000  0.284 x2